1.
# ReSe2Br
Simulated powder X-ray diffraction pattern, CuKα. Input: the GGA-PBE geometry in Alexandria.
Lines closer than 0.1° are merged.

Top 8 peaks for 10 to 80 degrees two-theta, sorted by position:
10.7°, I = 68, hkl 0 0 3
21.4°, I = 12, hkl 0 0 6
33.6°, I = 100, hkl 1 0 4
39.7°, I = 18, hkl 1 0 7
42.2°, I = 42, hkl 0 1 8
53.7°, I = 28, hkl 1 1 0
64.9°, I = 15, hkl 0 2 4
71.6°, I = 12, hkl 1 1 12

```
data_ReSe2Br
_cell_length_a 3.4128
_cell_length_b 3.4128
_cell_length_c 24.8696
_cell_angle_alpha 90.00
_cell_angle_beta 90.00
_cell_angle_gamma 120.00
_space_group_name_H-M_alt 'R -3 m'
_space_group_IT_number 166
_space_group_name_Hall '-R 3 2"'
loop_
_atom_site_label
_atom_site_type_symbol
_atom_site_fract_x
_atom_site_fract_y
_atom_site_fract_z
Re1 Re 0.0000 0.0000 0.0000
Se1 Se 0.0000 0.0000 0.2680
Br1 Br 0.0000 0.0000 0.5000
```



2.
# Sm6C2S3
Simulated powder X-ray diffraction pattern, CuKα. Input: the GGA-PBE geometry in Alexandria.
Lines closer than 0.1° are merged.

Top 8 peaks for 10 to 80 degrees two-theta, sorted by position:
26.8°, I = 35, hkl 0 0 18
28.9°, I = 78, hkl 1 0 7
31.6°, I = 100, hkl 0 1 11
34.2°, I = 24, hkl 0 1 14
46.8°, I = 28, hkl 1 0 25
47.5°, I = 50, hkl 1 1 0
55.4°, I = 31, hkl 1 1 18
58.2°, I = 17, hkl 2 0 11

```
data_Sm6C2S3
_cell_length_a 3.8279
_cell_length_b 3.8279
_cell_length_c 59.8496
_cell_angle_alpha 90.00
_cell_angle_beta 90.00
_cell_angle_gamma 120.00
_space_group_name_H-M_alt 'R -3 m'
_space_group_IT_number 166
_space_group_name_Hall '-R 3 2"'
loop_
_atom_site_label
_atom_site_type_symbol
_atom_site_fract_x
_atom_site_fract_y
_atom_site_fract_z
Sm1 Sm 0.0000 0.0000 0.0882
Sm2 Sm 0.0000 0.0000 0.1995
Sm3 Sm 0.0000 0.0000 0.3627
C1 C 0.0000 0.0000 0.4466
S1 S 0.0000 0.0000 0.0000
S2 S 0.0000 0.0000 0.2754
```



3.
# Cs3Ta2SnO8
Simulated powder X-ray diffraction pattern, CuKα. Input: the GGA-PBE geometry in Alexandria.
Lines closer than 0.1° are merged.

Top 8 peaks for 10 to 80 degrees two-theta, sorted by position:
26.5°, I = 87, hkl 1 0 2
28.1°, I = 100, hkl 1 1 0
39.0°, I = 34, hkl 2 0 2
48.8°, I = 33, hkl 2 1 2
49.8°, I = 21, hkl 3 0 0
51.7°, I = 29, hkl 1 1 4
58.2°, I = 17, hkl 2 2 0
65.0°, I = 14, hkl 1 3 2

```
data_Cs3Ta2SnO8
_cell_length_a 6.3428
_cell_length_b 6.3428
_cell_length_c 8.5250
_cell_angle_alpha 90.00
_cell_angle_beta 90.00
_cell_angle_gamma 120.00
_space_group_name_H-M_alt 'P -3 m 1'
_space_group_IT_number 164
_space_group_name_Hall '-P 3 2"'
loop_
_atom_site_label
_atom_site_type_symbol
_atom_site_fract_x
_atom_site_fract_y
_atom_site_fract_z
Cs1 Cs 0.0000 0.0000 0.0000
Cs2 Cs 0.3333 0.6667 0.7287
Ta1 Ta 0.3333 0.6667 0.2786
Sn1 Sn 0.0000 0.0000 0.5000
O1 O 0.1688 0.3377 0.3448
O2 O 0.3333 0.6667 0.0651
```



4.
# Ac2CeHoTe5
Simulated powder X-ray diffraction pattern, CuKα. Input: the GGA-PBE geometry in Alexandria.
Lines closer than 0.1° are merged.

Top 8 peaks for 10 to 80 degrees two-theta, sorted by position:
22.9°, I = 98, hkl 1 1 0
27.7°, I = 40, hkl 1 0 3
30.0°, I = 39, hkl 0 0 4
32.3°, I = 55, hkl 1 1 3
32.7°, I = 100, hkl 2 0 0
44.9°, I = 51, hkl 2 0 4
46.9°, I = 37, hkl 2 2 0
56.7°, I = 32, hkl 2 2 4

```
data_Ac2CeHoTe5
_cell_length_a 5.4815
_cell_length_b 5.4815
_cell_length_c 11.9121
_cell_angle_alpha 90.00
_cell_angle_beta 90.00
_cell_angle_gamma 90.00
_space_group_name_H-M_alt 'P 4/m m m'
_space_group_IT_number 123
_space_group_name_Hall '-P 4 2'
loop_
_atom_site_label
_atom_site_type_symbol
_atom_site_fract_x
_atom_site_fract_y
_atom_site_fract_z
Ac1 Ac 0.0000 0.0000 0.2011
Ce1 Ce 0.5000 0.5000 0.5000
Ho1 Ho 0.5000 0.5000 0.0000
Te1 Te 0.0000 0.0000 0.5000
Te2 Te 0.0000 0.5000 0.0000
Te3 Te 0.5000 0.5000 0.2496
```



5.
# Cs6SbAu2
Simulated powder X-ray diffraction pattern, CuKα. Input: the GGA-PBE geometry in Alexandria.
Lines closer than 0.1° are merged.

Top 8 peaks for 10 to 80 degrees two-theta, sorted by position:
24.3°, I = 96, hkl 1 3 3
27.4°, I = 75, hkl 2 0 0
29.2°, I = 33, hkl 2 2 0
31.4°, I = 100, hkl 1 5 3
39.2°, I = 29, hkl 2 0 6
49.0°, I = 21, hkl 2 8 0
51.0°, I = 26, hkl 3 5 3
51.1°, I = 24, hkl 1 5 9

```
data_Cs6SbAu2
_cell_length_a 6.5160
_cell_length_b 18.1278
_cell_length_c 19.4853
_cell_angle_alpha 90.00
_cell_angle_beta 90.00
_cell_angle_gamma 90.00
_space_group_name_H-M_alt 'F m m m'
_space_group_IT_number 69
_space_group_name_Hall '-F 2 2'
loop_
_atom_site_label
_atom_site_type_symbol
_atom_site_fract_x
_atom_site_fract_y
_atom_site_fract_z
Cs1 Cs 0.0000 0.1103 0.0000
Cs2 Cs 0.0000 0.1097 0.3341
Sb1 Sb 0.0000 0.0000 0.5000
Au1 Au 0.0000 0.0000 0.1728
```



6.
# TbSmEr2Tm5
Simulated powder X-ray diffraction pattern, CuKα. Input: the GGA-PBE geometry in Alexandria.
Lines closer than 0.1° are merged.

Top 8 peaks for 10 to 80 degrees two-theta, sorted by position:
28.6°, I = 18, hkl 0 6 1
30.6°, I = 38, hkl 1 1 3
32.3°, I = 42, hkl 2 0 0
32.8°, I = 100, hkl 1 5 2
34.2°, I = 12, hkl 0 0 4
58.0°, I = 21, hkl 3 5 2
60.7°, I = 14, hkl 1 11 3
62.4°, I = 13, hkl 2 6 5

```
data_TbSmEr2Tm5
_cell_length_a 5.5381
_cell_length_b 19.5838
_cell_length_c 10.4861
_cell_angle_alpha 90.00
_cell_angle_beta 90.00
_cell_angle_gamma 90.00
_space_group_name_H-M_alt 'C m c 21'
_space_group_IT_number 36
loop_
_space_group_symop_operation_xyz
'x,y,z'
'-x,-y,z+1/2'
'-x,y,z'
'x,-y,z+1/2'
'x+1/2,y+1/2,z'
'-x+1/2,-y+1/2,z+1/2'
'-x+1/2,y+1/2,z'
'x+1/2,-y+1/2,z+1/2'
loop_
_atom_site_label
_atom_site_type_symbol
_atom_site_fract_x
_atom_site_fract_y
_atom_site_fract_z
Tb1 Tb 0.0000 0.2005 0.0000
Sm1 Sm 0.0000 0.4162 0.4408
Er1 Er 0.0000 0.1099 0.7245
Er2 Er 0.0000 0.1130 0.3073
Tm1 Tm 0.0000 0.0181 0.0144
Tm2 Tm 0.0000 0.2818 0.2980
Tm3 Tm 0.0000 0.2993 0.6980
Tm4 Tm 0.0000 0.3901 0.0108
Tm5 Tm 0.0000 0.4784 0.7243
```



7.
# Na3TcN4
Simulated powder X-ray diffraction pattern, CuKα. Input: the GGA-PBE geometry in Alexandria.
Lines closer than 0.1° are merged.

Top 8 peaks for 10 to 80 degrees two-theta, sorted by position:
17.5°, I = 65, hkl 1 1 0
20.4°, I = 61, hkl 0 0 1
22.0°, I = 42, hkl 1 1 -1
27.5°, I = 34, hkl 0 2 0
31.3°, I = 100, hkl 1 1 1
34.9°, I = 33, hkl 2 0 -2
45.0°, I = 21, hkl 2 2 -2
51.0°, I = 40, hkl 3 3 -1

```
data_Na3TcN4
_cell_length_a 9.6123
_cell_length_b 6.4903
_cell_length_c 5.1474
_cell_angle_alpha 90.00
_cell_angle_beta 122.37
_cell_angle_gamma 90.00
_space_group_name_H-M_alt 'C 1 2 1'
_space_group_IT_number 5
loop_
_space_group_symop_operation_xyz
'x,y,z'
'-x,y,-z'
'x+1/2,y+1/2,z'
'-x+1/2,y+1/2,-z'
loop_
_atom_site_label
_atom_site_type_symbol
_atom_site_fract_x
_atom_site_fract_y
_atom_site_fract_z
Na1 Na 0.0000 0.0000 0.0000
Na2 Na 0.2153 0.5029 0.2151
Tc1 Tc 0.0000 0.4760 0.5000
N1 N 0.0016 0.7873 0.6193
N2 N 0.1931 0.3497 0.6891
```



8.
# Na4Al3Si7H8O24
Simulated powder X-ray diffraction pattern, CuKα. Input: the GGA-PBE geometry in Alexandria.
Lines closer than 0.1° are merged.

Top 8 peaks for 10 to 80 degrees two-theta, sorted by position:
13.2°, I = 40, hkl 0 1 1
14.9°, I = 100, hkl 1 1 1
20.0°, I = 51, hkl 1 -1 0
20.1°, I = 35, hkl 1 2 1
27.6°, I = 36, hkl 1 1 -2
30.6°, I = 38, hkl 1 2 3
30.8°, I = 50, hkl 1 -1 3
30.9°, I = 35, hkl 1 -2 2

```
data_Na4Al3Si7H8O24
_cell_length_a 6.6389
_cell_length_b 9.9179
_cell_length_c 10.0239
_cell_angle_alpha 83.19
_cell_angle_beta 70.66
_cell_angle_gamma 70.59
_space_group_name_H-M_alt 'P 1'
_space_group_IT_number 1
loop_
_space_group_symop_operation_xyz
'x,y,z'
loop_
_atom_site_label
_atom_site_type_symbol
_atom_site_fract_x
_atom_site_fract_y
_atom_site_fract_z
Na1 Na 0.0000 0.0000 0.0000
Na2 Na 0.1900 0.6071 0.4942
Na3 Na 0.3810 0.1127 0.1220
Na4 Na 0.7033 0.4852 0.6150
Al1 Al 0.0781 0.9687 0.3754
Al2 Al 0.1416 0.4719 0.2441
Al3 Al 0.8114 0.1288 0.7436
Si1 Si 0.1347 0.2377 0.4771
Si2 Si 0.2349 0.8626 0.6455
Si3 Si 0.2485 0.6320 0.8795
Si4 Si 0.3069 0.7408 0.1392
Si5 Si 0.5611 0.0469 0.5599
Si6 Si 0.5720 0.3655 0.9783
Si7 Si 0.8127 0.5533 0.0594
H1 H 0.1084 0.2535 0.9280
H2 H 0.3408 0.1434 0.8448
H3 H 0.5378 0.3485 0.4444
H4 H 0.6719 0.4507 0.3510
H5 H 0.6789 0.8548 0.1818
H6 H 0.7116 0.7567 0.6604
H7 H 0.7190 0.9585 0.2723
H8 H 0.8475 0.6656 0.7609
O1 O 0.0036 0.6034 0.9267
O2 O 0.0236 0.9690 0.7603
O3 O 0.0977 0.4022 0.4171
O4 O 0.1422 0.1298 0.3631
O5 O 0.1891 0.8484 0.4988
O6 O 0.1998 0.6320 0.2516
O7 O 0.2034 0.9033 0.1987
O8 O 0.2142 0.1586 0.9352
O9 O 0.2477 0.7452 0.9880
O10 O 0.2942 0.6985 0.7175
O11 O 0.3783 0.1839 0.5102
O12 O 0.3776 0.3560 0.1246
O13 O 0.4584 0.4813 0.8662
O14 O 0.4654 0.9080 0.6117
O15 O 0.5589 0.4423 0.4430
O16 O 0.5842 0.6930 0.0986
O17 O 0.5994 0.0954 0.6968
O18 O 0.6927 0.2060 0.9129
O19 O 0.6966 0.9494 0.1806
O20 O 0.7681 0.4221 0.9990
O21 O 0.7863 0.9967 0.4243
O22 O 0.8260 0.6648 0.6685
O23 O 0.8958 0.5012 0.1970
O24 O 0.9282 0.2465 0.6234
```



9.
# PmRuC2
Simulated powder X-ray diffraction pattern, CuKα. Input: the GGA-PBE geometry in Alexandria.
Lines closer than 0.1° are merged.

Top 8 peaks for 10 to 80 degrees two-theta, sorted by position:
23.5°, I = 15, hkl 0 1 1
28.5°, I = 19, hkl 0 0 2
33.0°, I = 100, hkl 1 1 1
36.8°, I = 21, hkl 1 0 2
37.8°, I = 19, hkl 0 2 0
47.6°, I = 17, hkl 0 1 3
53.8°, I = 12, hkl 1 2 2
65.2°, I = 14, hkl 1 3 1

```
data_PmRuC2
_cell_length_a 3.8976
_cell_length_b 4.7579
_cell_length_c 6.2588
_cell_angle_alpha 90.00
_cell_angle_beta 90.00
_cell_angle_gamma 90.00
_space_group_name_H-M_alt 'A m m 2'
_space_group_IT_number 38
loop_
_space_group_symop_operation_xyz
'x,y,z'
'-x,-y,z'
'-x,y,z'
'x,-y,z'
'x,y+1/2,z+1/2'
'-x,-y+1/2,z+1/2'
'-x,y+1/2,z+1/2'
'x,-y+1/2,z+1/2'
loop_
_atom_site_label
_atom_site_type_symbol
_atom_site_fract_x
_atom_site_fract_y
_atom_site_fract_z
Pm1 Pm 0.0000 0.0000 0.0000
Ru1 Ru 0.5000 0.0000 0.3853
C1 C 0.5000 0.1464 0.7068
```



10.
# NdTm4Sc2
Simulated powder X-ray diffraction pattern, CuKα. Input: the GGA-PBE geometry in Alexandria.
Lines closer than 0.1° are merged.

Top 8 peaks for 10 to 80 degrees two-theta, sorted by position:
30.9°, I = 45, hkl 2 1 -1
32.2°, I = 56, hkl 2 -2 1
32.6°, I = 100, hkl 0 1 -3
33.8°, I = 47, hkl 0 3 -2
34.1°, I = 53, hkl -2 1 2
49.7°, I = 23, hkl 2 -4 0
60.2°, I = 16, hkl 2 -5 3
63.9°, I = 21, hkl 4 -2 2

```
data_NdTm4Sc2
_cell_length_a 6.8785
_cell_length_b 8.3006
_cell_length_c 8.5122
_cell_angle_alpha 114.34
_cell_angle_beta 101.78
_cell_angle_gamma 101.93
_space_group_name_H-M_alt 'P 1'
_space_group_IT_number 1
loop_
_space_group_symop_operation_xyz
'x,y,z'
loop_
_atom_site_label
_atom_site_type_symbol
_atom_site_fract_x
_atom_site_fract_y
_atom_site_fract_z
Nd1 Nd 0.0000 0.0000 0.0000
Nd2 Nd 0.0848 0.7659 0.5760
Tm1 Tm 0.1997 0.3344 0.4570
Tm2 Tm 0.3042 0.8845 0.2917
Tm3 Tm 0.3960 0.4444 0.1229
Tm4 Tm 0.4997 0.9987 0.9882
Tm5 Tm 0.6115 0.5926 0.8518
Tm6 Tm 0.6971 0.3303 0.4529
Tm7 Tm 0.8901 0.4399 0.1127
Tm8 Tm 0.9716 0.1745 0.7122
Sc1 Sc 0.1163 0.5947 0.8570
Sc2 Sc 0.4782 0.1772 0.7186
Sc3 Sc 0.5915 0.7760 0.5807
Sc4 Sc 0.7903 0.8814 0.2847
```



11.
# CePm2Ag6
Simulated powder X-ray diffraction pattern, CuKα. Input: the GGA-PBE geometry in Alexandria.
Lines closer than 0.1° are merged.

Top 8 peaks for 10 to 80 degrees two-theta, sorted by position:
34.1°, I = 100, hkl 1 1 1
36.8°, I = 84, hkl 3 0 0
51.1°, I = 31, hkl 2 2 1
54.7°, I = 9, hkl 0 0 2
64.6°, I = 30, hkl 4 1 1
66.3°, I = 14, hkl 3 3 0
67.8°, I = 27, hkl 3 0 2
78.3°, I = 9, hkl 6 0 0

```
data_CePm2Ag6
_cell_length_a 8.4560
_cell_length_b 8.4560
_cell_length_c 3.3555
_cell_angle_alpha 90.00
_cell_angle_beta 90.00
_cell_angle_gamma 120.00
_space_group_name_H-M_alt 'P 6/m m m'
_space_group_IT_number 191
_space_group_name_Hall '-P 6 2'
loop_
_atom_site_label
_atom_site_type_symbol
_atom_site_fract_x
_atom_site_fract_y
_atom_site_fract_z
Ce1 Ce 0.0000 0.0000 0.0000
Pm1 Pm 0.3333 0.6667 0.0000
Ag1 Ag 0.0000 0.3338 0.5000
```



12.
# NaAg2BF6
Simulated powder X-ray diffraction pattern, CuKα. Input: the GGA-PBE geometry in Alexandria.
Lines closer than 0.1° are merged.

Top 8 peaks for 10 to 80 degrees two-theta, sorted by position:
17.3°, I = 96, hkl 0 1 0
26.9°, I = 100, hkl 1 1 0
29.6°, I = 66, hkl -1 1 1
30.4°, I = 64, hkl 1 -1 1
30.7°, I = 66, hkl 0 0 2
33.7°, I = 76, hkl 0 2 1
39.4°, I = 50, hkl 2 0 1
40.0°, I = 51, hkl 0 1 -2

```
data_NaAg2BF6
_cell_length_a 4.6367
_cell_length_b 5.3764
_cell_length_c 6.2779
_cell_angle_alpha 72.44
_cell_angle_beta 77.06
_cell_angle_gamma 88.65
_space_group_name_H-M_alt 'P 1'
_space_group_IT_number 1
loop_
_space_group_symop_operation_xyz
'x,y,z'
loop_
_atom_site_label
_atom_site_type_symbol
_atom_site_fract_x
_atom_site_fract_y
_atom_site_fract_z
Na1 Na 0.0000 0.0000 0.0000
Ag1 Ag 0.3313 0.8206 0.4588
Ag2 Ag 0.5687 0.6020 0.8896
B1 B 0.8059 0.3408 0.4351
F1 F 0.0824 0.6658 0.8314
F2 F 0.4784 0.9383 0.0720
F3 F 0.4985 0.3061 0.4554
F4 F 0.8718 0.2452 0.6537
F5 F 0.8866 0.6129 0.3432
F6 F 0.9629 0.2070 0.2855
```



13.
# Nd3Al8Pt3
Simulated powder X-ray diffraction pattern, CuKα. Input: the GGA-PBE geometry in Alexandria.
Lines closer than 0.1° are merged.

Top 8 peaks for 10 to 80 degrees two-theta, sorted by position:
11.8°, I = 45, hkl 2 0 -1
25.9°, I = 40, hkl 1 1 1
28.4°, I = 100, hkl 3 1 0
28.8°, I = 58, hkl 3 1 -2
33.6°, I = 40, hkl 6 0 -2
34.8°, I = 30, hkl 5 1 -2
35.7°, I = 54, hkl 3 1 -3
40.2°, I = 48, hkl 0 2 0

```
data_Nd3Al8Pt3
_cell_length_a 16.0042
_cell_length_b 4.4893
_cell_length_c 9.1082
_cell_angle_alpha 90.00
_cell_angle_beta 124.17
_cell_angle_gamma 90.00
_space_group_name_H-M_alt 'C 1 2/m 1'
_space_group_IT_number 12
loop_
_space_group_symop_operation_xyz
'x,y,z'
'-x,-y,-z'
'-x,y,-z'
'x,-y,z'
'x+1/2,y+1/2,z'
'-x+1/2,-y+1/2,-z'
'-x+1/2,y+1/2,-z'
'x+1/2,-y+1/2,z'
loop_
_atom_site_label
_atom_site_type_symbol
_atom_site_fract_x
_atom_site_fract_y
_atom_site_fract_z
Nd1 Nd 0.0000 0.0000 0.0000
Nd2 Nd 0.2134 0.5000 0.6984
Al1 Al 0.0071 0.5000 0.6757
Al2 Al 0.1313 0.0000 0.4215
Al3 Al 0.1512 0.5000 0.2831
Al4 Al 0.1533 0.0000 0.8674
Pt1 Pt 0.0000 0.0000 0.5000
Pt2 Pt 0.1499 0.5000 0.0021
```